Na3Cd2Cl7: theoretical XRD peak list (Cu Kα X-rays), based on a structure optimized by DFT (GGA-PBE).
Lines closer than 0.1° are merged.

Principal peaks in the range 2θ = 10–80°, sorted by position:
(4 0 0), 14.93 deg, rel. 55; (1 1 1), 18.08 deg, rel. 100; (3 1 1), 20.97 deg, rel. 19; (0 0 2), 24.37 deg, rel. 28; (5 1 1), 25.84 deg, rel. 79; (7 1 0), 29.35 deg, rel. 23; (4 2 0), 29.92 deg, rel. 18; (0 2 2), 35.81 deg, rel. 35; (9 1 1), 38.57 deg, rel. 37; (4 2 2), 39.00 deg, rel. 30; (1 1 3), 39.43 deg, rel. 31; (5 3 1), 45.57 deg, rel. 70

Cell and atoms:
Unit cell a=23.7324 b=6.8969 c=7.3044 alpha=90.00 beta=90.00 gamma=90.00
Space group Cmc2_1 (No. 36)
Asymmetric unit:
Na  0.0000  0.2271  0.0000 [4 per cell]
Na  0.1915  0.2453  0.1745 [8 per cell]
Cd  0.1050  0.2474  0.5857 [8 per cell]
Cl  0.0000  0.3818  0.6349 [4 per cell]
Cl  0.0756  0.0713  0.2660 [8 per cell]
Cl  0.1336  0.4383  0.8901 [8 per cell]
Cl  0.2067  0.1233  0.5353 [8 per cell]